KNa2SbPd: simulated powder X-ray diffraction pattern (copper Kα), based on a crystal structure in Alexandria, relaxed with GGA-PBE.

Structure:
a b c (Å): 5.8282 5.8282 5.1584
angles (deg): 90.00 90.00 90.00
Space group P4/mmm (No. 123)
Unique sites:
K1 0.0000 0.0000 0.0000 x1
Na1 0.0000 0.5000 0.5000 x2
Sb1 0.5000 0.5000 0.5000 x1
Pd1 0.5000 0.5000 0.0000 x1

Peak list (10 most intense, 2θ = 5–70°, sorted by position)
- 2θ 15.20, rel. 100
- 2θ 21.56, rel. 63
- 2θ 30.68, rel. 53
- 2θ 34.41, rel. 27
- 2θ 34.78, rel. 19
- 2θ 38.16, rel. 21
- 2θ 41.29, rel. 22
- 2θ 43.94, rel. 19
- 2θ 47.05, rel. 31
- 2θ 49.73, rel. 19


KNaSbPd: simulated powder X-ray diffraction pattern (copper Kα), based on a crystal structure in Alexandria, relaxed with GGA-PBE.

Structure:
a b c (Å): 8.1312 4.7215 6.6028
angles (deg): 90.00 114.37 90.00
Space group Cm (No. 8)
Unique sites:
K1 0.0000 0.0000 0.0000 x2
Na1 0.2906 0.5000 0.3765 x2
Sb1 0.0411 0.5000 0.6274 x2
Pd1 0.2003 0.0000 0.6056 x2

Peak list (10 most intense, 2θ = 5–70°, sorted by position)
- 2θ 14.73, rel. 100
- 2θ 23.91, rel. 22
- 2θ 29.53, rel. 33
- 2θ 29.71, rel. 21
- 2θ 33.11, rel. 24
- 2θ 38.12, rel. 20
- 2θ 38.29, rel. 40
- 2θ 41.07, rel. 16
- 2θ 41.23, rel. 31
- 2θ 49.10, rel. 20


K2Na5TlPd: simulated powder X-ray diffraction pattern (copper Kα), based on a crystal structure in Alexandria, relaxed with GGA-PBE.

Structure:
a b c (Å): 7.7303 7.7303 10.9292
angles (deg): 90.00 90.00 90.00
Space group I4mm (No. 107)
Unique sites:
K1 0.0000 0.5000 0.0000 x4
Na1 0.0000 0.0000 0.4580 x2
Na2 0.2421 0.2421 0.7432 x8
Tl1 0.0000 0.0000 0.9374 x2
Pd1 0.0000 0.0000 0.1842 x2

Peak list (10 most intense, 2θ = 5–70°, sorted by position)
- 2θ 14.03, rel. 100
- 2θ 16.22, rel. 57
- 2θ 23.01, rel. 43
- 2θ 27.05, rel. 65
- 2θ 28.28, rel. 37
- 2θ 32.77, rel. 54
- 2θ 35.81, rel. 33
- 2θ 36.77, rel. 43
- 2θ 42.99, rel. 27
- 2θ 47.02, rel. 32


Number 1 is which compound?
KNa2SbPd